# NaNdF4
Computed powder XRD pattern, CuKα. Input: DFT lattice parameters and positions (PBE).
Neutral-atom scattering factors, no anomalous dispersion.

Principal peaks in the range 2θ from 15° to 90°, low angle first:
16.5 deg, rel. 96, hkl 1 0 0
20.4 deg, rel. 41, hkl 1 0 1
28.7 deg, rel. 82, hkl 1 1 0
29.2 deg, rel. 100, hkl 1 0 2
37.7 deg, rel. 23, hkl 1 1 2
41.4 deg, rel. 84, hkl 2 0 2
50.9 deg, rel. 34, hkl 3 0 0
51.2 deg, rel. 72, hkl 1 2 2
57.8 deg, rel. 22, hkl 1 1 4
82.2 deg, rel. 21, hkl 3 2 2

Structure:
```
data_NaNdF4
_chemical_formula_sum 'Na3 Nd3 F12'
_cell_length_a 6.2172
_cell_length_b 6.2172
_cell_length_c 7.4302
_cell_angle_alpha 90.00
_cell_angle_beta 90.00
_cell_angle_gamma 120.00
_symmetry_space_group_name_H-M 'P -6'
_symmetry_Int_Tables_number 174
loop_
_symmetry_equiv_pos_as_xyz
'x,y,z'
'-x+y,-x,-z'
'-y,x-y,z'
'x,y,-z'
'-x+y,-x,z'
'-y,x-y,-z'
loop_
_atom_site_label
_atom_site_type_symbol
_atom_site_fract_x
_atom_site_fract_y
_atom_site_fract_z
_atom_site_occupancy
Na1 Na 0.0000 0.0000 0.0000 1
Na2 Na 0.6667 0.3333 0.2063 1
Nd1 Nd 0.0000 0.0000 0.5000 1
Nd2 Nd 0.3333 0.6667 0.2462 1
F1 F 0.0498 0.4371 0.0000 1
F2 F 0.0656 0.4198 0.5000 1
F3 F 0.2750 0.2589 0.2623 1
```